Diffraction record for Y4TlPbO. The powder XRD pattern is calculated, not measured: it uses a GGA-PBE-relaxed structure and Cu Kα X-rays.
Peak positions follow from Bragg's law for the DFT cell and can differ from measured ones.

Structure:
```
data_Y4TlPbO
_symmetry_space_group_name_H-M 'C m c m'
_symmetry_Int_Tables_number 63
_symmetry_space_group_name_Hall '-C 2c 2'
_cell_length_a 6.505
_cell_length_b 17.064
_cell_length_c 6.493
_cell_angle_alpha 90.00
_cell_angle_beta 90.00
_cell_angle_gamma 90.00
loop_
_atom_site_label
_atom_site_fract_x
_atom_site_fract_y
_atom_site_fract_z
Y1 0.000 0.068 0.250
Y2 0.000 0.417 0.250
Y3 0.250 0.250 0.000
Tl1 0.000 0.113 0.750
Pb1 0.000 0.391 0.750
O1 0.000 0.275 0.250
```

Principal peaks in the range 2θ from 5° to 70°, in order of falling intensity:
two_theta  intensity  index
34.70  100  2 4 0
39.21  60  2 0 2
29.41  50  2 2 0
27.45  45  2 0 0
68.17  28  4 4 2
51.10  28  2 6 2
31.45  28  0 6 0
20.01  26  1 1 1